Diffraction record for Nb3Zn. The powder diffraction line list is theoretical, not measured: it uses DFT lattice parameters and positions (GGA-PBE) and Cu Kα (weighted mean of Kα1 and Kα2).

Structure:
```
data_Nb3Zn
_cell_length_a 3.3597
_cell_length_b 3.3597
_cell_length_c 12.4695
_cell_angle_alpha 90.00
_cell_angle_beta 90.00
_cell_angle_gamma 90.00
_symmetry_space_group_name_H-M 'P 4/n m m'
_symmetry_Int_Tables_number 129
loop_
_symmetry_equiv_pos_as_xyz
'x,y,z'
'-x,-y,-z'
'-y+1/2,x,z'
'y+1/2,-x,-z'
'-x+1/2,-y+1/2,z'
'x+1/2,y+1/2,-z'
'y,-x+1/2,z'
'-y,x+1/2,-z'
'x+1/2,-y,-z'
'-x+1/2,y,z'
'-y,-x,-z'
'y,x,z'
'-x,y+1/2,-z'
'x,-y+1/2,z'
'y+1/2,x+1/2,-z'
'-y+1/2,-x+1/2,z'
loop_
_atom_site_label
_atom_site_fract_x
_atom_site_fract_y
_atom_site_fract_z
Nb1 0.2500 0.2500 0.0686
Nb2 0.2500 0.2500 0.3183
Nb3 0.2500 0.2500 0.8020
Zn1 0.2500 0.2500 0.5562
```

Top 10 peaks for 2θ from 15° to 90°, by angle:
2theta	intensity
34.32	4
37.87	58
39.43	100
54.63	20
59.29	7
65.49	2
69.44	36
72.53	14
80.93	6
84.86	9

***

Diffraction record for Zr6NbZn5. The powder diffraction line list is theoretical, not measured: it uses DFT lattice parameters and positions (GGA-PBE) and Cu Kα (weighted mean of Kα1 and Kα2).

Structure:
```
data_Zr6NbZn5
_cell_length_a 4.7701
_cell_length_b 6.7021
_cell_length_c 14.2977
_cell_angle_alpha 90.00
_cell_angle_beta 90.00
_cell_angle_gamma 90.00
_symmetry_space_group_name_H-M 'I m m m'
_symmetry_Int_Tables_number 71
_symmetry_space_group_name_Hall '-I 2 2'
loop_
_atom_site_label
_atom_site_fract_x
_atom_site_fract_y
_atom_site_fract_z
Zr1 0.0000 0.2476 0.0000
Zr2 0.0000 0.2503 0.3330
Nb1 0.0000 0.0000 0.5000
Zn1 0.0000 0.0000 0.1677
Zn2 0.0000 0.5000 0.1632
Zn3 0.0000 0.5000 0.5000
```

Top 10 peaks for 2θ from 15° to 90°, by angle:
2theta	intensity
26.44	2
26.60	1
37.73	50
37.85	100
54.43	17
54.79	8
68.20	33
68.44	16
80.59	5
80.89	10

***

Diffraction record for Zr2NbZn3. The powder diffraction line list is theoretical, not measured: it uses DFT lattice parameters and positions (GGA-PBE) and Cu Kα (weighted mean of Kα1 and Kα2).

Structure:
```
data_Zr2NbZn3
_cell_length_a 3.4685
_cell_length_b 3.4685
_cell_length_c 8.9144
_cell_angle_alpha 90.00
_cell_angle_beta 90.00
_cell_angle_gamma 90.00
_symmetry_space_group_name_H-M 'P 4/m m m'
_symmetry_Int_Tables_number 123
_symmetry_space_group_name_Hall '-P 4 2'
loop_
_atom_site_label
_atom_site_fract_x
_atom_site_fract_y
_atom_site_fract_z
Zr1 0.0000 0.0000 0.1766
Nb1 0.0000 0.0000 0.5000
Zn1 0.5000 0.5000 0.0000
Zn2 0.5000 0.5000 0.3483
```

Top 10 peaks for 2θ from 15° to 90°, by angle:
2theta	intensity
25.68	3
36.64	66
39.95	100
52.79	22
62.51	6
68.20	39
74.70	13
77.90	7
86.20	9
89.31	10

***

Diffraction record for ZrNb. The powder diffraction line list is theoretical, not measured: it uses DFT lattice parameters and positions (GGA-PBE) and Cu Kα (weighted mean of Kα1 and Kα2).

Structure:
```
data_ZrNb
_cell_length_a 3.5474
_cell_length_b 14.1905
_cell_length_c 4.9092
_cell_angle_alpha 90.00
_cell_angle_beta 90.00
_cell_angle_gamma 90.00
_symmetry_space_group_name_H-M 'A m m 2'
_symmetry_Int_Tables_number 38
loop_
_symmetry_equiv_pos_as_xyz
'x,y,z'
'-x,-y,z'
'-x,y,z'
'x,-y,z'
'x,y+1/2,z+1/2'
'-x,-y+1/2,z+1/2'
'-x,y+1/2,z+1/2'
'x,-y+1/2,z+1/2'
loop_
_atom_site_label
_atom_site_fract_x
_atom_site_fract_y
_atom_site_fract_z
Zr1 0.0000 0.0000 0.0000
Zr2 0.0000 0.1678 0.4373
Nb1 0.5000 0.0000 0.5237
Nb2 0.5000 0.1619 0.9214
```

Top 10 peaks for 2θ from 15° to 90°, by angle:
2theta	intensity
36.58	100
38.05	20
44.90	4
51.53	8
53.83	11
64.86	7
65.85	16
67.78	13
77.75	8
87.28	7

***

Diffraction record for ZrNb. The powder diffraction line list is theoretical, not measured: it uses DFT lattice parameters and positions (GGA-PBE) and Cu Kα (weighted mean of Kα1 and Kα2).

Structure:
```
data_ZrNb
_cell_length_a 4.8677
_cell_length_b 4.8845
_cell_length_c 6.8247
_cell_angle_alpha 90.00
_cell_angle_beta 90.00
_cell_angle_gamma 90.00
_symmetry_space_group_name_H-M 'I m m a'
_symmetry_Int_Tables_number 74
_symmetry_space_group_name_Hall '-I 2b 2'
loop_
_atom_site_label
_atom_site_fract_x
_atom_site_fract_y
_atom_site_fract_z
Zr1 0.0000 0.2500 0.1245
Nb1 0.0000 0.2500 0.6256
```

Top 10 peaks for 2θ from 15° to 90°, by angle:
2theta	intensity
36.80	26
36.93	25
37.07	100
53.13	17
53.72	8
66.46	17
66.63	17
66.94	17
78.95	10
89.87	4

***

Diffraction record for Nd7Ni3. The powder diffraction line list is theoretical, not measured: it uses DFT lattice parameters and positions (GGA-PBE) and Cu Kα (weighted mean of Kα1 and Kα2).

Structure:
```
data_Nd7Ni3
_cell_length_a 9.9296
_cell_length_b 9.9296
_cell_length_c 6.3690
_cell_angle_alpha 90.00
_cell_angle_beta 90.00
_cell_angle_gamma 120.00
_symmetry_space_group_name_H-M 'P 63 m c'
_symmetry_Int_Tables_number 186
_symmetry_space_group_name_Hall 'P 6c -2c'
loop_
_atom_site_label
_atom_site_fract_x
_atom_site_fract_y
_atom_site_fract_z
Nd1 0.0777 0.5389 0.0000
Nd2 0.1258 0.2517 0.3108
Nd3 0.3333 0.6667 0.5255
Ni1 0.1888 0.3776 0.7545
```

Top 10 peaks for 2θ from 15° to 90°, by angle:
2theta	intensity
27.44	19
29.92	44
30.89	100
34.31	42
35.07	40
36.19	32
53.73	26
54.73	25
55.33	23
55.53	16

***

Diffraction record for Nd5Ni6. The powder diffraction line list is theoretical, not measured: it uses DFT lattice parameters and positions (GGA-PBE) and Cu Kα (weighted mean of Kα1 and Kα2).

Structure:
```
data_Nd5Ni6
_cell_length_a 4.1757
_cell_length_b 28.3895
_cell_length_c 3.9167
_cell_angle_alpha 90.00
_cell_angle_beta 90.00
_cell_angle_gamma 90.00
_symmetry_space_group_name_H-M 'C m m m'
_symmetry_Int_Tables_number 65
_symmetry_space_group_name_Hall '-C 2 2'
loop_
_atom_site_label
_atom_site_fract_x
_atom_site_fract_y
_atom_site_fract_z
Nd1 0.0000 0.0000 0.0000
Nd2 0.0000 0.1973 0.5000
Nd3 0.0000 0.3871 0.0000
Ni1 0.0000 0.0870 0.5000
Ni2 0.0000 0.2762 0.0000
Ni3 0.0000 0.4589 0.5000
```

Top 10 peaks for 2θ from 15° to 90°, by angle:
2theta	intensity
26.50	34
31.50	28
32.75	100
34.09	54
38.55	29
41.12	22
43.34	29
46.36	23
56.26	26
63.63	25

***

Diffraction record for Nd3Ni2. The powder diffraction line list is theoretical, not measured: it uses DFT lattice parameters and positions (GGA-PBE) and Cu Kα (weighted mean of Kα1 and Kα2).

Structure:
```
data_Nd3Ni2
_cell_length_a 4.4578
_cell_length_b 14.3403
_cell_length_c 3.8742
_cell_angle_alpha 90.00
_cell_angle_beta 90.00
_cell_angle_gamma 90.00
_symmetry_space_group_name_H-M 'C m m m'
_symmetry_Int_Tables_number 65
_symmetry_space_group_name_Hall '-C 2 2'
loop_
_atom_site_label
_atom_site_fract_x
_atom_site_fract_y
_atom_site_fract_z
Nd1 0.0000 0.0000 0.0000
Nd2 0.0000 0.3498 0.5000
Ni1 0.0000 0.2021 0.0000
```

Top 10 peaks for 2θ from 15° to 90°, by angle:
2theta	intensity
27.36	56
31.22	100
34.07	57
36.00	30
37.28	19
37.63	20
40.47	31
44.23	23
46.90	20
53.91	31

***

Diffraction record for Nd5Ni2. The powder diffraction line list is theoretical, not measured: it uses DFT lattice parameters and positions (GGA-PBE) and Cu Kα (weighted mean of Kα1 and Kα2).

Structure:
```
data_Nd5Ni2
_cell_length_a 17.1086
_cell_length_b 6.5336
_cell_length_c 7.0540
_cell_angle_alpha 90.00
_cell_angle_beta 96.68
_cell_angle_gamma 90.00
_symmetry_space_group_name_H-M 'C 1 2/c 1'
_symmetry_Int_Tables_number 15
loop_
_symmetry_equiv_pos_as_xyz
'x,y,z'
'-x,-y,-z'
'-x,y,-z+1/2'
'x,-y,z+1/2'
'x+1/2,y+1/2,z'
'-x+1/2,-y+1/2,-z'
'-x+1/2,y+1/2,-z+1/2'
'x+1/2,-y+1/2,z+1/2'
loop_
_atom_site_label
_atom_site_fract_x
_atom_site_fract_y
_atom_site_fract_z
Nd1 0.0000 0.0673 0.2500
Nd2 0.0956 0.3960 0.9236
Nd3 0.2142 0.0700 0.3148
Ni1 0.1089 0.1950 0.5721
```

Top 10 peaks for 2θ from 15° to 90°, by angle:
2theta	intensity
28.86	35
29.63	100
30.18	51
31.11	45
31.54	71
32.51	37
33.55	25
34.48	29
35.05	27
40.79	24

***

Diffraction record for NdNi2. The powder diffraction line list is theoretical, not measured: it uses DFT lattice parameters and positions (GGA-PBE) and Cu Kα (weighted mean of Kα1 and Kα2).

Structure:
```
data_NdNi2
_cell_length_a 4.7571
_cell_length_b 4.7553
_cell_length_c 5.2174
_cell_angle_alpha 90.00
_cell_angle_beta 116.93
_cell_angle_gamma 90.00
_symmetry_space_group_name_H-M 'C 1 2/m 1'
_symmetry_Int_Tables_number 12
loop_
_symmetry_equiv_pos_as_xyz
'x,y,z'
'-x,-y,-z'
'-x,y,-z'
'x,-y,z'
'x+1/2,y+1/2,z'
'-x+1/2,-y+1/2,-z'
'-x+1/2,y+1/2,-z'
'x+1/2,-y+1/2,z'
loop_
_atom_site_label
_atom_site_fract_x
_atom_site_fract_y
_atom_site_fract_z
Nd1 0.0000 0.0000 0.0000
Ni1 0.2029 0.5000 0.4067
```

Top 10 peaks for 2θ from 15° to 90°, by angle:
2theta	intensity
28.22	47
37.83	71
38.72	17
39.53	100
54.57	24
55.28	18
62.56	10
69.39	18
69.52	18
77.10	7

***

Diffraction record for Nd2NpNi16. The powder diffraction line list is theoretical, not measured: it uses DFT lattice parameters and positions (GGA-PBE) and Cu Kα (weighted mean of Kα1 and Kα2).

Structure:
```
data_Nd2NpNi16
_cell_length_a 8.4768
_cell_length_b 8.4768
_cell_length_c 12.3283
_cell_angle_alpha 90.00
_cell_angle_beta 90.00
_cell_angle_gamma 120.00
_symmetry_space_group_name_H-M 'R 3 m'
_symmetry_Int_Tables_number 160
_symmetry_space_group_name_Hall 'R 3 -2"'
loop_
_atom_site_label
_atom_site_fract_x
_atom_site_fract_y
_atom_site_fract_z
Nd1 0.0000 0.0000 0.0000
Nd2 0.0000 0.0000 0.3057
Np1 0.0000 0.0000 0.5808
Ni1 0.0000 0.0000 0.7707
Ni2 0.0001 0.5000 0.1515
Ni3 0.9999 0.4999 0.8126
Ni4 0.0008 0.3078 0.6537
Ni5 0.0043 0.5021 0.4942
```

Top 10 peaks for 2θ from 15° to 90°, by angle:
2theta	intensity
30.29	41
31.48	20
36.73	60
38.13	26
42.67	68
43.02	100
43.91	21
44.07	21
48.32	23
78.11	23